For RbPd3O4, a crystal structure in OQMD, relaxed with PBE gives the calculated powder diffraction line list in this record (Cu Kα (λ = 1.5418 Å)).
Peak positions follow from Bragg's law for the DFT cell and can differ from measured ones.

Cell and atoms:
Cell: 9.784 9.784 9.784 Å, 90.00 90.00 90.00°
Space group Fm-3m (No. 225)
Unique sites:
Rb (0.000, 0.000, 0.000) x4
Rb (0.000, 0.000, 0.500) x4
Pd (0.000, 0.250, 0.250) x24
O (0.149, 0.149, 0.149) x32

Main lines, low angle first (5° ≤ 2θ ≤ 70°):
Position (°2θ)  I_rel  index
18.13  4  2 0 0
31.68  100  2 2 2
36.74  38  4 0 0
52.94  41  4 4 0
63.02  41  6 2 2
66.17  10  4 4 4